No. 1
# Ca3AgPt2
Theoretical XRD peak list, Cu Kα X-rays. Input: a GGA-PBE-relaxed structure.
Kinematic intensities with the Lorentz-polarization factor, no thermal factor.

Most intense lines, 10 to 80 degrees two-theta, in order of falling intensity:
2θ/deg, I (rel.), h k l
35.68, 100.0, 2 0 0
25.02, 43.3, 0 0 1
64.13, 22.1, 2 0 2
44.07, 13.3, 2 0 1
64.01, 11.8, 3 3 1
51.30, 11.2, 2 6 0
57.89, 9.0, 3 3 0
57.99, 8.9, 1 3 2
75.60, 8.4, 2 6 2
51.43, 5.9, 0 0 2

Structure:
Lattice parameters (Å, degrees): 5.043 15.096 3.553 90.00 90.00 90.00
Space group Cmmm (No. 65)
Inequivalent atoms, fractional coordinates:
Ca: 0.000 0.000 0.000 x2
Ca: 0.000 0.324 0.000 x4
Ag: 0.000 0.500 0.500 x2
Pt: 0.000 0.160 0.500 x4

***

No. 2
# Ca6Ag5Pt
Theoretical XRD peak list, Cu Kα X-rays. Input: a GGA-PBE-relaxed structure.
Kinematic intensities with the Lorentz-polarization factor, no thermal factor.

Most intense lines, 10 to 80 degrees two-theta, in order of falling intensity:
2θ/deg, I (rel.), h k l
34.42, 100.0, 1 2 1
24.41, 29.4, 1 0 1
34.71, 24.7, 2 0 -1
34.87, 23.7, 0 0 3
62.13, 16.2, 3 2 -3
23.90, 15.6, 0 2 0
48.93, 9.2, 0 4 0
61.38, 8.9, 2 4 -1
61.99, 8.4, 3 2 0
61.48, 8.3, 0 4 3

Structure:
Lattice parameters (Å, degrees): 5.169 7.446 8.134 90.00 108.36 90.00
Space group P2/m (No. 10)
Inequivalent atoms, fractional coordinates:
Ca: 0.000 0.236 0.000 x2
Ca: 0.341 0.243 0.680 x4
Ag: 0.166 0.500 0.337 x2
Ag: 0.173 0.000 0.349 x2
Ag: 0.500 0.500 0.000 x1
Pt: 0.500 0.000 0.000 x1

***

No. 3
# Rb2Ca2Ag
Theoretical XRD peak list, Cu Kα X-rays. Input: a GGA-PBE-relaxed structure.
Kinematic intensities with the Lorentz-polarization factor, no thermal factor.

Most intense lines, 10 to 80 degrees two-theta, in order of falling intensity:
2θ/deg, I (rel.), h k l
27.10, 100.0, 2 1 1
24.14, 74.9, 0 0 2
24.79, 60.0, 2 0 1
19.44, 49.6, 1 1 1
34.49, 44.0, 3 1 0
42.54, 42.5, 3 1 2
47.21, 30.3, 4 1 1
44.32, 24.8, 2 1 3
39.47, 23.8, 2 2 2
30.76, 23.4, 2 2 0

Structure:
Lattice parameters (Å, degrees): 8.222 8.222 7.376 90.00 90.00 90.00
Space group P4/mbm (No. 127)
Inequivalent atoms, fractional coordinates:
Rb: 0.181 0.319 0.000 x4
Ca: 0.169 0.669 0.500 x4
Ag: 0.000 0.000 0.500 x2

***

No. 4
# RbCa2Ag2
Theoretical XRD peak list, Cu Kα X-rays. Input: a GGA-PBE-relaxed structure.
Kinematic intensities with the Lorentz-polarization factor, no thermal factor.

Most intense lines, 10 to 80 degrees two-theta, in order of falling intensity:
2θ/deg, I (rel.), h k l
31.40, 100.0, 2 1 1
31.76, 58.2, 3 1 0
21.80, 31.6, 0 0 1
42.79, 28.2, 3 2 1
38.86, 25.2, 3 1 1
55.66, 22.0, 3 1 2
22.31, 19.7, 2 1 0
29.71, 15.6, 2 0 1
60.38, 15.2, 5 2 1
44.45, 14.4, 0 0 2

Structure:
Lattice parameters (Å, degrees): 8.909 8.909 4.076 90.00 90.00 90.00
Space group P4/mbm (No. 127)
Inequivalent atoms, fractional coordinates:
Rb: 0.000 0.000 0.000 x2
Ca: 0.151 0.349 0.500 x4
Ag: 0.124 0.624 0.000 x4